This entry pairs a crystal structure of Fe10O9F11 with its calculated powder diffractogram. Radiation: Cu Kα (weighted mean of Kα1 and Kα2). Structure: a structure optimized by DFT (GGA+U).
Kinematic intensities with the Lorentz-polarization factor, no thermal factor.

The 10 most intense peaks (10° ≤ 2θ ≤ 90°), most intense first:
25.97 deg, I = 100.0; 27.45 deg, I = 91.8; 34.76 deg, I = 51.0; 51.57 deg, I = 31.2; 53.43 deg, I = 30.6; 51.86 deg, I = 29.7; 34.63 deg, I = 26.5; 34.89 deg, I = 25.3; 53.25 deg, I = 23.8; 60.02 deg, I = 17.9

Unit cell a=4.7253 b=4.7262 c=15.4155 alpha=89.95 beta=89.55 gamma=86.89
Space group P1 (No. 1)
One atom of each set of equivalent atoms:
Fe1 0.0000 0.0000 0.0000 x1
Fe2 0.0026 0.9859 0.6062 x1
Fe3 0.0274 0.0497 0.7924 x1
Fe4 0.0432 0.0173 0.3978 x1
Fe5 0.0503 0.0163 0.2100 x1
Fe6 0.5057 0.5633 0.5096 x1
Fe7 0.5094 0.5717 0.0967 x1
Fe8 0.5329 0.5368 0.6991 x1
Fe9 0.5406 0.5129 0.3029 x1
Fe10 0.5762 0.5110 0.9040 x1
O1 0.2059 0.8395 0.5036 x1
O2 0.2084 0.8495 0.0995 x1
O3 0.2299 0.8224 0.7049 x1
O4 0.2397 0.8229 0.3023 x1
O5 0.7065 0.7161 0.6052 x1
O6 0.7171 0.7191 0.9978 x1
O7 0.8212 0.2356 0.7009 x1
O8 0.8463 0.2145 0.3015 x1
O9 0.8521 0.2112 0.8992 x1
F1 0.2368 0.8142 0.8990 x1
F2 0.3235 0.3318 0.6036 x1
F3 0.3271 0.3286 0.4133 x1
F4 0.3273 0.3349 0.1890 x1
F5 0.3304 0.3313 0.9976 x1
F6 0.3494 0.3397 0.8025 x1
F7 0.7277 0.7290 0.4117 x1
F8 0.7295 0.7246 0.8026 x1
F9 0.7299 0.7341 0.1916 x1
F10 0.8110 0.2375 0.0976 x1
F11 0.8117 0.2299 0.5027 x1